# 1
Diffraction record for Sr6Br3N2O. The X-ray powder pattern is calculated, not measured: it uses a DFT-relaxed cell (PBE, Alexandria) and Cu Kα, 1.54184 Å.
Intensities are scaled so that the largest is 100.

Most intense lines, 2θ from 10° to 90°, in order of falling intensity:
2θ (°), d_spacing, intensity
30.82, 2.901, 100.0
33.19, 2.699, 42.2
46.14, 1.968, 38.3
60.26, 1.536, 25.9
42.09, 2.147, 21.4
26.46, 3.368, 19.7
36.58, 2.457, 18.5
56.52, 1.628, 16.9
75.84, 1.254, 14.0
60.87, 1.522, 13.4
27.39, 3.257, 11.4
58.01, 1.590, 8.5

```
Sr6Br3N2O
1.0
3.4078 -5.9026 0.0000
3.4078 5.9026 0.0000
-2.2700 0.0000 7.3703
Sr Br N O
6 3 2 1
direct
0.1011 0.4384 0.8148
0.2245 0.2245 0.1848
0.4384 0.1011 0.8148
0.5616 0.8989 0.1852
0.7755 0.7755 0.8152
0.8989 0.5616 0.1852
0.0000 0.0000 0.5000
0.3337 0.6663 0.5000
0.6663 0.3337 0.5000
0.1667 0.8333 0.0000
0.8333 0.1667 0.0000
0.5000 0.5000 0.0000
```

***

# 2
Diffraction record for GaFe3Ni. The X-ray powder pattern is calculated, not measured: it uses a DFT-relaxed cell (PBE, Alexandria) and Cu Kα, 1.54184 Å.
Intensities are scaled so that the largest is 100.

Most intense lines, 2θ from 10° to 90°, in order of falling intensity:
2θ (°), d_spacing, intensity
44.73, 2.026, 100.0
38.33, 2.348, 34.2
48.25, 1.886, 32.0
43.26, 2.091, 27.4
46.41, 1.956, 26.9
87.56, 1.114, 17.7
36.38, 2.469, 14.6
84.03, 1.152, 10.3
56.30, 1.634, 9.8
42.40, 2.132, 9.7
52.68, 1.738, 9.5
27.30, 3.267, 9.0

```
GaFe3Ni
1.0
6.5300 0.0000 0.0000
0.0000 5.1658 0.0000
0.0000 0.0000 7.5500
Ga Fe Ni
4 12 4
direct
0.2102 0.2500 0.1527
0.2898 0.7500 0.6527
0.7102 0.2500 0.3473
0.7898 0.7500 0.8473
0.1187 0.0154 0.8728
0.1187 0.4846 0.8728
0.2099 0.7500 0.1400
0.2901 0.2500 0.6400
0.3813 0.5154 0.3728
0.3813 0.9846 0.3728
0.6187 0.0154 0.6272
0.6187 0.4846 0.6272
0.7099 0.7500 0.3600
0.7901 0.2500 0.8600
0.8813 0.5154 0.1272
0.8813 0.9846 0.1272
0.0000 0.0000 0.5000
0.0000 0.5000 0.5000
0.5000 0.0000 0.0000
0.5000 0.5000 0.0000
```

***

# 3
Diffraction record for Cs2SnF3. The X-ray powder pattern is calculated, not measured: it uses a DFT-relaxed cell (PBE, Alexandria) and Cu Kα, 1.54184 Å.
Intensities are scaled so that the largest is 100.

Most intense lines, 2θ from 10° to 90°, in order of falling intensity:
2θ (°), d_spacing, intensity
28.43, 3.140, 100.0
27.62, 3.229, 81.7
25.09, 3.549, 80.6
45.27, 2.003, 42.9
46.84, 1.940, 38.8
37.06, 2.426, 29.5
34.47, 2.602, 28.8
51.30, 1.781, 24.2
43.97, 2.059, 19.5
51.51, 1.774, 17.7
58.82, 1.570, 14.8
69.99, 1.344, 13.9

```
Cs2SnF3
1.0
-2.0593 2.4260 7.8050
2.0593 -2.4260 7.8050
2.0593 2.4260 -7.8050
Cs Sn F
2 1 3
direct
0.1510 0.1510 0.0000
0.8490 0.8490 0.0000
0.5000 0.5000 0.0000
0.0000 0.5000 0.5000
0.3445 0.3445 0.0000
0.6555 0.6555 0.0000
```

***

- What is the formula in the second record?
  GaFe3Ni